Computed powder XRD pattern
Compound: U
Radiation: Cu Kα (weighted mean of Kα1 and Kα2)
Structure: a GGA-PBE-relaxed structure
Lines closer than 0.1° are merged.

Cell and atoms:
Lattice parameters (Å, degrees): 3.433 3.433 3.433 90.00 90.00 90.00
Space group Im-3m (No. 229)
Unique sites:
U: 0.000 0.000 0.000 (multiplicity 2)

The 3 most intense peaks (5 to 70 degrees two-theta), by angle:
index, 2θ/deg, I_rel
1 1 0, 37.03, 100
2 0 0, 53.38, 18
2 1 1, 66.75, 38

=====

Computed powder XRD pattern
Compound: SrCa2In2Ge
Radiation: Cu Kα (weighted mean of Kα1 and Kα2)
Structure: a GGA-PBE-relaxed structure
Lines closer than 0.1° are merged.

Cell and atoms:
Lattice parameters (Å, degrees): 4.893 12.234 14.178 90.00 90.00 90.00
Space group Cmcm (No. 63)
Unique sites:
Sr: 0.000 0.161 0.250 (multiplicity 4)
Ca: 0.000 0.130 0.595 (multiplicity 8)
In: 0.000 0.415 0.581 (multiplicity 8)
Ge: 0.000 0.441 0.250 (multiplicity 4)

The 10 most intense peaks (5 to 70 degrees two-theta), by angle:
index, 2θ/deg, I_rel
0 2 0, 14.48, 22
1 1 0, 19.54, 38
1 1 3, 27.23, 100
0 4 0, 29.20, 23
1 3 3, 34.35, 90
0 4 3, 34.94, 46
2 0 0, 36.73, 33
0 0 6, 38.08, 29
2 4 3, 51.60, 29
2 0 6, 53.94, 21

=====

Computed powder XRD pattern
Compound: CaPrTi2O6
Radiation: Cu Kα (weighted mean of Kα1 and Kα2)
Structure: a GGA-PBE-relaxed structure
Lines closer than 0.1° are merged.

Cell and atoms:
Lattice parameters (Å, degrees): 7.836 5.550 5.504 90.00 90.00 90.00
Space group Pmn2_1 (No. 31)
Unique sites:
Ca: 0.000 0.207 0.000 (multiplicity 2)
Pr: 0.000 0.709 0.520 (multiplicity 2)
Ti: 0.250 0.248 0.511 (multiplicity 4)
O: 0.000 0.268 0.429 (multiplicity 2)
O: 0.000 0.771 0.088 (multiplicity 2)
O: 0.207 0.464 0.797 (multiplicity 4)
O: 0.208 0.965 0.725 (multiplicity 4)

The 10 most intense peaks (5 to 70 degrees two-theta), by angle:
index, 2θ/deg, I_rel
1 1 0, 19.60, 22
1 0 1, 19.71, 23
2 1 1, 32.34, 100
0 0 2, 32.53, 19
3 0 1, 38.10, 17
4 0 0, 46.35, 14
0 2 2, 46.47, 25
4 2 0, 57.59, 19
2 1 3, 57.94, 19
4 2 2, 67.73, 12

=====

Computed powder XRD pattern
Compound: LiBH4
Radiation: Cu Kα (weighted mean of Kα1 and Kα2)
Structure: a GGA-PBE-relaxed structure
Lines closer than 0.1° are merged.

Cell and atoms:
Lattice parameters (Å, degrees): 6.395 5.632 5.579 90.00 90.00 90.00
Space group Ama2 (No. 40)
Unique sites:
Li: 0.000 0.000 0.000 (multiplicity 4)
B: 0.250 0.233 0.743 (multiplicity 4)
H: 0.095 0.318 0.840 (multiplicity 8)
H: 0.250 0.017 0.751 (multiplicity 4)
H: 0.250 0.277 0.528 (multiplicity 4)

The 10 most intense peaks (5 to 70 degrees two-theta), by angle:
index, 2θ/deg, I_rel
0 1 1, 22.43, 15
1 1 1, 26.46, 100
2 0 0, 27.90, 6
2 1 1, 36.09, 10
2 2 0, 42.79, 15
2 0 2, 43.03, 16
0 2 2, 45.79, 10
3 1 1, 48.49, 6
1 3 1, 53.46, 5
1 1 3, 53.87, 5

=====

Computed powder XRD pattern
Compound: ZnSb2O4
Radiation: Cu Kα (weighted mean of Kα1 and Kα2)
Structure: a GGA-PBE-relaxed structure
Lines closer than 0.1° are merged.

Cell and atoms:
Lattice parameters (Å, degrees): 6.526 6.965 17.429 87.22 89.93 62.25
Space group P1 (No. 1)
Unique sites:
Zn: 0.000 0.000 0.000 (multiplicity 1)
Zn: 0.011 0.974 0.368 (multiplicity 1)
Zn: 0.023 0.985 0.587 (multiplicity 1)
Zn: 0.273 0.441 0.665 (multiplicity 1)
Zn: 0.304 0.380 0.256 (multiplicity 1)
Zn: 0.676 0.672 0.952 (multiplicity 1)
Sb: 0.002 0.415 0.483 (multiplicity 1)
Sb: 0.100 0.244 0.820 (multiplicity 1)
Sb: 0.163 0.686 0.875 (multiplicity 1)
Sb: 0.319 0.358 0.054 (multiplicity 1)
Sb: 0.325 0.831 0.175 (multiplicity 1)
Sb: 0.457 0.536 0.500 (multiplicity 1)
Sb: 0.546 0.975 0.537 (multiplicity 1)
Sb: 0.600 0.794 0.338 (multiplicity 1)
Sb: 0.614 0.226 0.801 (multiplicity 1)
Sb: 0.655 0.705 0.737 (multiplicity 1)
Sb: 0.827 0.345 0.128 (multiplicity 1)
Sb: 0.842 0.836 0.174 (multiplicity 1)
O: 0.053 0.900 0.250 (multiplicity 1)
O: 0.099 0.800 0.101 (multiplicity 1)
O: 0.121 0.194 0.052 (multiplicity 1)
O: 0.192 0.154 0.567 (multiplicity 1)
O: 0.192 0.666 0.578 (multiplicity 1)
O: 0.287 0.411 0.943 (multiplicity 1)
O: 0.310 0.830 0.934 (multiplicity 1)
O: 0.319 0.369 0.450 (multiplicity 1)
O: 0.344 0.787 0.412 (multiplicity 1)
O: 0.444 0.095 0.297 (multiplicity 1)
O: 0.456 0.150 0.718 (multiplicity 1)
O: 0.477 0.515 0.205 (multiplicity 1)
O: 0.520 0.496 0.728 (multiplicity 1)
O: 0.636 0.747 0.623 (multiplicity 1)
O: 0.681 0.206 0.050 (multiplicity 1)
O: 0.693 0.149 0.573 (multiplicity 1)
O: 0.696 0.630 0.069 (multiplicity 1)
O: 0.799 0.445 0.871 (multiplicity 1)
O: 0.845 0.807 0.401 (multiplicity 1)
O: 0.872 0.840 0.933 (multiplicity 1)
O: 0.932 0.259 0.405 (multiplicity 1)
O: 0.952 0.078 0.770 (multiplicity 1)
O: 0.993 0.524 0.209 (multiplicity 1)
O: 0.995 0.474 0.728 (multiplicity 1)

The 10 most intense peaks (5 to 70 degrees two-theta), by angle:
index, 2θ/deg, I_rel
0 0 3, 15.27, 41
0 1 4, 24.41, 42
1 2 3, 29.37, 44
1 0 -5, 29.64, 50
0 2 -1, 29.76, 49
0 1 -5, 30.17, 58
0 2 2, 30.29, 36
2 0 -1, 31.32, 100
2 1 -3, 31.46, 51
2 0 -4, 36.96, 34

=====

Computed powder XRD pattern
Compound: Ba5Re3O16
Radiation: Cu Kα (weighted mean of Kα1 and Kα2)
Structure: a GGA-PBE-relaxed structure
Lines closer than 0.1° are merged.

Cell and atoms:
Lattice parameters (Å, degrees): 11.0786 11.0786 7.9638 90.00 90.00 120.00
Space group P6_3cm (No. 185)
Unique sites:
Ba: 0.0000 0.2602 0.0000 (multiplicity 6)
Ba: 0.3333 0.6667 0.2634 (multiplicity 4)
Re: 0.0000 0.3900 0.5553 (multiplicity 6)
O: 0.0000 0.0000 0.4398 (multiplicity 2)
O: 0.0000 0.2969 0.3761 (multiplicity 6)
O: 0.1314 0.3858 0.6959 (multiplicity 12)
O: 0.1307 0.5538 0.0196 (multiplicity 12)

The 10 most intense peaks (5 to 70 degrees two-theta), by angle:
index, 2θ/deg, I_rel
1 0 0, 9.22, 27
1 1 1, 19.52, 26
0 0 2, 22.33, 31
2 1 1, 27.02, 100
1 1 2, 27.59, 83
3 0 0, 27.90, 77
2 0 2, 29.15, 22
3 1 1, 35.57, 29
2 2 2, 39.64, 23
2 1 3, 42.19, 26